For NaTlSe2, the GGA-PBE geometry in the Materials Project gives the theoretical PXRD pattern in this record (Cu Kα, 1.54184 Å).
Neutral-atom scattering factors, no anomalous dispersion.

Main lines, sorted by position (10° ≤ 2θ ≤ 90°):
15.94 deg, I = 100; 28.36 deg, I = 29; 30.01 deg, I = 25; 32.19 deg, I = 43; 34.16 deg, I = 91; 44.59 deg, I = 42; 58.67 deg, I = 17; 75.47 deg, I = 16

Atomic structure:
```
data_NaTlSe2
_chemical_formula_sum 'Na4 Tl4 Se8'
_space_group_name_H-M_alt 'P 1'
_space_group_IT_number 1
_space_group_name_Hall 'P 1'
_cell_length_a 7.865
_cell_length_b 7.865
_cell_length_c 7.050
_cell_angle_alpha 90.00
_cell_angle_beta 90.00
_cell_angle_gamma 90.00
loop_
_atom_site_label
_atom_site_fract_x
_atom_site_fract_y
_atom_site_fract_z
Na1 0.000 0.000 0.250
Na2 0.000 0.000 0.750
Na3 0.500 0.500 0.250
Na4 0.500 0.500 0.750
Tl1 0.000 0.500 0.250
Tl2 0.000 0.500 0.750
Tl3 0.500 0.000 0.250
Tl4 0.500 0.000 0.750
Se1 0.187 0.313 0.000
Se2 0.187 0.687 0.500
Se3 0.313 0.187 0.500
Se4 0.313 0.813 0.000
Se5 0.687 0.187 0.000
Se6 0.687 0.813 0.500
Se7 0.813 0.313 0.500
Se8 0.813 0.687 0.000
```

---

For NaV2Se4, the GGA-PBE geometry in the Materials Project gives the theoretical PXRD pattern in this record (Cu Kα, 1.54184 Å).
Neutral-atom scattering factors, no anomalous dispersion.

Main lines, sorted by position (10° ≤ 2θ ≤ 90°):
12.04 deg, I = 100; 29.50 deg, I = 21; 29.82 deg, I = 18; 30.86 deg, I = 21; 34.83 deg, I = 86; 37.06 deg, I = 34; 51.47 deg, I = 41; 52.06 deg, I = 30

Atomic structure:
```
data_NaV2Se4
_chemical_formula_sum 'Na1 V2 Se4'
_space_group_name_H-M_alt 'P 1'
_space_group_IT_number 1
_space_group_name_Hall 'P 1'
_cell_length_a 6.171
_cell_length_b 3.552
_cell_length_c 7.831
_cell_angle_alpha 90.00
_cell_angle_beta 110.12
_cell_angle_gamma 90.00
loop_
_atom_site_label
_atom_site_fract_x
_atom_site_fract_y
_atom_site_fract_z
Na1 0.000 0.000 0.000
V1 0.310 0.500 0.512
V2 0.870 0.000 0.505
Se1 0.265 0.000 0.728
Se2 0.429 0.000 0.327
Se3 0.748 0.500 0.690
Se4 0.911 0.500 0.288
```

---

For NaV2Se4, the GGA-PBE geometry in the Materials Project gives the theoretical PXRD pattern in this record (Cu Kα, 1.54184 Å).
Neutral-atom scattering factors, no anomalous dispersion.

Main lines, sorted by position (10° ≤ 2θ ≤ 90°):
12.27 deg, I = 71; 28.74 deg, I = 20; 29.63 deg, I = 32; 32.99 deg, I = 18; 35.32 deg, I = 100; 50.35 deg, I = 37; 51.27 deg, I = 29; 63.00 deg, I = 17

Atomic structure:
```
data_NaV2Se4
_chemical_formula_sum 'Na1 V2 Se4'
_space_group_name_H-M_alt 'P 1'
_space_group_IT_number 1
_space_group_name_Hall 'P 1'
_cell_length_a 14.580
_cell_length_b 14.580
_cell_length_c 14.580
_cell_angle_alpha 14.28
_cell_angle_beta 14.28
_cell_angle_gamma 14.28
loop_
_atom_site_label
_atom_site_fract_x
_atom_site_fract_y
_atom_site_fract_z
Na1 0.000 0.000 0.000
V1 0.418 0.418 0.418
V2 0.915 0.915 0.915
Se1 0.117 0.117 0.117
Se2 0.216 0.216 0.216
Se3 0.617 0.617 0.617
Se4 0.716 0.716 0.716
```

---

For NaVSe2, the GGA-PBE geometry in the Materials Project gives the theoretical PXRD pattern in this record (Cu Kα, 1.54184 Å).
Neutral-atom scattering factors, no anomalous dispersion.

Main lines, sorted by position (10° ≤ 2θ ≤ 90°):
12.89 deg, I = 33; 28.61 deg, I = 18; 32.41 deg, I = 100; 41.25 deg, I = 16; 44.78 deg, I = 29; 48.14 deg, I = 35; 59.23 deg, I = 16; 79.70 deg, I = 14

Atomic structure:
```
data_NaVSe2
_chemical_formula_sum 'Na3 V3 Se6'
_space_group_name_H-M_alt 'P 1'
_space_group_IT_number 1
_space_group_name_Hall 'P 1'
_cell_length_a 3.780
_cell_length_b 3.780
_cell_length_c 20.596
_cell_angle_alpha 90.00
_cell_angle_beta 90.00
_cell_angle_gamma 120.00
loop_
_atom_site_label
_atom_site_fract_x
_atom_site_fract_y
_atom_site_fract_z
Na1 0.000 0.000 0.000
Na2 0.333 0.667 0.667
Na3 0.667 0.333 0.333
V1 0.000 0.000 0.500
V2 0.333 0.667 0.167
V3 0.667 0.333 0.833
Se1 0.000 0.000 0.235
Se2 0.000 0.000 0.765
Se3 0.333 0.667 0.432
Se4 0.333 0.667 0.902
Se5 0.667 0.333 0.098
Se6 0.667 0.333 0.568
```

---

For Na2Zn2Se3, the GGA-PBE geometry in the Materials Project gives the theoretical PXRD pattern in this record (Cu Kα, 1.54184 Å).
Neutral-atom scattering factors, no anomalous dispersion.

Main lines, sorted by position (10° ≤ 2θ ≤ 90°):
13.61 deg, I = 27; 17.77 deg, I = 100; 25.25 deg, I = 39; 26.70 deg, I = 59; 32.56 deg, I = 56; 39.92 deg, I = 35; 44.93 deg, I = 42; 53.65 deg, I = 23

Atomic structure:
```
data_Na2Zn2Se3
_chemical_formula_sum 'Na8 Zn8 Se12'
_space_group_name_H-M_alt 'P 1'
_space_group_IT_number 1
_space_group_name_Hall 'P 1'
_cell_length_a 7.779
_cell_length_b 7.779
_cell_length_c 11.873
_cell_angle_alpha 90.00
_cell_angle_beta 90.00
_cell_angle_gamma 90.00
loop_
_atom_site_label
_atom_site_fract_x
_atom_site_fract_y
_atom_site_fract_z
Na1 0.031 0.250 0.346
Na2 0.250 0.031 0.654
Na3 0.250 0.531 0.096
Na4 0.469 0.750 0.404
Na5 0.531 0.250 0.904
Na6 0.750 0.469 0.596
Na7 0.750 0.969 0.154
Na8 0.969 0.750 0.846
Zn1 0.048 0.221 0.882
Zn2 0.221 0.048 0.118
Zn3 0.279 0.548 0.632
Zn4 0.452 0.721 0.868
Zn5 0.548 0.279 0.368
Zn6 0.721 0.452 0.132
Zn7 0.779 0.952 0.618
Zn8 0.952 0.779 0.382
Se1 0.026 0.739 0.584
Se2 0.187 0.813 0.250
Se3 0.239 0.474 0.834
Se4 0.261 0.974 0.916
Se5 0.313 0.313 0.500
Se6 0.474 0.239 0.166
Se7 0.526 0.761 0.666
Se8 0.687 0.687 0.000
Se9 0.739 0.026 0.416
Se10 0.761 0.526 0.334
Se11 0.813 0.187 0.750
Se12 0.974 0.261 0.084
```

---

For Na2ZnSe2, the GGA-PBE geometry in the Materials Project gives the theoretical PXRD pattern in this record (Cu Kα, 1.54184 Å).
Neutral-atom scattering factors, no anomalous dispersion.

Main lines, sorted by position (10° ≤ 2θ ≤ 90°):
19.32 deg, I = 100; 22.45 deg, I = 40; 24.74 deg, I = 43; 26.13 deg, I = 47; 32.88 deg, I = 49; 34.72 deg, I = 37; 41.26 deg, I = 61; 45.00 deg, I = 33

Atomic structure:
```
data_Na2ZnSe2
_chemical_formula_sum 'Na8 Zn4 Se8'
_space_group_name_H-M_alt 'P 1'
_space_group_IT_number 1
_space_group_name_Hall 'P 1'
_cell_length_a 9.378
_cell_length_b 7.425
_cell_length_c 7.205
_cell_angle_alpha 90.00
_cell_angle_beta 92.85
_cell_angle_gamma 90.00
loop_
_atom_site_label
_atom_site_fract_x
_atom_site_fract_y
_atom_site_fract_z
Na1 0.050 0.236 0.011
Na2 0.050 0.264 0.511
Na3 0.322 0.672 0.949
Na4 0.322 0.828 0.449
Na5 0.678 0.172 0.551
Na6 0.678 0.328 0.051
Na7 0.950 0.736 0.489
Na8 0.950 0.764 0.989
Zn1 0.373 0.091 0.847
Zn2 0.373 0.409 0.347
Zn3 0.627 0.591 0.653
Zn4 0.627 0.909 0.153
Se1 0.145 0.542 0.247
Se2 0.145 0.958 0.747
Se3 0.410 0.112 0.196
Se4 0.410 0.388 0.696
Se5 0.590 0.612 0.304
Se6 0.590 0.888 0.804
Se7 0.855 0.042 0.253
Se8 0.855 0.458 0.753
```

---

For Na2Zn3Se4, the GGA-PBE geometry in the Materials Project gives the theoretical PXRD pattern in this record (Cu Kα, 1.54184 Å).
Neutral-atom scattering factors, no anomalous dispersion.

Main lines, sorted by position (10° ≤ 2θ ≤ 90°):
13.11 deg, I = 78; 23.20 deg, I = 48; 29.89 deg, I = 100; 32.46 deg, I = 20; 40.05 deg, I = 49; 43.23 deg, I = 34; 45.35 deg, I = 45; 52.67 deg, I = 30

Atomic structure:
```
data_Na2Zn3Se4
_chemical_formula_sum 'Na4 Zn6 Se8'
_space_group_name_H-M_alt 'P 1'
_space_group_IT_number 1
_space_group_name_Hall 'P 1'
_cell_length_a 9.119
_cell_length_b 9.119
_cell_length_c 9.119
_cell_angle_alpha 141.30
_cell_angle_beta 108.40
_cell_angle_gamma 84.48
loop_
_atom_site_label
_atom_site_fract_x
_atom_site_fract_y
_atom_site_fract_z
Na1 0.125 0.235 0.361
Na2 0.375 0.735 0.110
Na3 0.625 0.265 0.890
Na4 0.875 0.765 0.639
Zn1 0.028 0.250 0.778
Zn2 0.250 0.750 0.500
Zn3 0.472 0.250 0.222
Zn4 0.528 0.750 0.778
Zn5 0.750 0.250 0.500
Zn6 0.972 0.750 0.222
Se1 0.006 0.406 0.139
Se2 0.234 0.094 0.600
Se3 0.266 0.867 0.861
Se4 0.494 0.633 0.400
Se5 0.506 0.367 0.600
Se6 0.734 0.133 0.139
Se7 0.766 0.906 0.400
Se8 0.994 0.594 0.861
```

---

For Na4Zn3Se5, the GGA-PBE geometry in the Materials Project gives the theoretical PXRD pattern in this record (Cu Kα, 1.54184 Å).
Neutral-atom scattering factors, no anomalous dispersion.

Main lines, sorted by position (10° ≤ 2θ ≤ 90°):
11.05 deg, I = 85; 25.46 deg, I = 94; 25.86 deg, I = 78; 26.07 deg, I = 76; 28.62 deg, I = 78; 43.54 deg, I = 66; 43.79 deg, I = 100; 45.74 deg, I = 61

Atomic structure:
```
data_Na4Zn3Se5
_chemical_formula_sum 'Na16 Zn12 Se20'
_space_group_name_H-M_alt 'P 1'
_space_group_IT_number 1
_space_group_name_Hall 'P 1'
_cell_length_a 13.782
_cell_length_b 4.134
_cell_length_c 19.686
_cell_angle_alpha 90.00
_cell_angle_beta 90.00
_cell_angle_gamma 90.00
loop_
_atom_site_label
_atom_site_fract_x
_atom_site_fract_y
_atom_site_fract_z
Na1 0.001 0.250 0.233
Na2 0.007 0.750 0.417
Na3 0.111 0.750 0.950
Na4 0.227 0.250 0.333
Na5 0.273 0.750 0.833
Na6 0.389 0.250 0.450
Na7 0.493 0.250 0.917
Na8 0.499 0.750 0.733
Na9 0.501 0.250 0.267
Na10 0.507 0.750 0.083
Na11 0.611 0.750 0.550
Na12 0.727 0.250 0.167
Na13 0.773 0.750 0.667
Na14 0.889 0.250 0.050
Na15 0.993 0.250 0.583
Na16 0.999 0.750 0.767
Zn1 0.075 0.750 0.131
Zn2 0.181 0.250 0.717
Zn3 0.209 0.750 0.540
Zn4 0.291 0.250 0.040
Zn5 0.319 0.750 0.217
Zn6 0.425 0.250 0.631
Zn7 0.575 0.750 0.369
Zn8 0.681 0.250 0.783
Zn9 0.709 0.750 0.960
Zn10 0.791 0.250 0.460
Zn11 0.819 0.750 0.283
Zn12 0.925 0.250 0.869
Se1 0.109 0.250 0.840
Se2 0.111 0.250 0.062
Se3 0.124 0.750 0.653
Se4 0.147 0.750 0.247
Se5 0.156 0.250 0.476
Se6 0.344 0.750 0.976
Se7 0.353 0.250 0.747
Se8 0.376 0.250 0.153
Se9 0.389 0.750 0.562
Se10 0.391 0.750 0.340
Se11 0.609 0.250 0.660
Se12 0.611 0.250 0.438
Se13 0.624 0.750 0.847
Se14 0.647 0.750 0.253
Se15 0.656 0.250 0.024
Se16 0.844 0.750 0.524
Se17 0.853 0.250 0.753
Se18 0.876 0.250 0.347
Se19 0.889 0.750 0.938
Se20 0.891 0.750 0.160
```